Entry 1:
Structure and simulated powder diffraction line list of Sn2GeTe3 (DFT lattice parameters and positions (GGA-PBE); copper Kα).
No peak broadening, texture or thermal motion is included.

Crystal structure
```
data_Sn2GeTe3
_symmetry_space_group_name_H-M 'P 1 m 1'
_symmetry_Int_Tables_number 6
_cell_length_a 12.289
_cell_length_b 4.385
_cell_length_c 14.334
_cell_angle_alpha 90.00
_cell_angle_beta 90.26
_cell_angle_gamma 90.00
loop_
_symmetry_equiv_pos_as_xyz
'x,y,z'
'x,-y,z'
loop_
_atom_site_label
_atom_site_type_symbol
_atom_site_fract_x
_atom_site_fract_y
_atom_site_fract_z
Sn1 Sn 0.000 0.000 0.000
Sn2 Sn 0.000 0.000 0.334
Sn3 Sn 0.001 0.000 0.668
Sn4 Sn 0.234 0.500 0.065
Sn5 Sn 0.234 0.500 0.400
Sn6 Sn 0.501 0.000 0.567
Sn7 Sn 0.503 0.000 0.233
Sn8 Sn 0.503 0.000 0.898
Ge1 Ge 0.246 0.500 0.736
Ge2 Ge 0.744 0.500 0.161
Ge3 Ge 0.744 0.500 0.494
Ge4 Ge 0.744 0.500 0.828
Te1 Te 0.256 0.000 0.542
Te2 Te 0.257 0.000 0.205
Te3 Te 0.257 0.000 0.863
Te4 Te 0.470 0.500 0.708
Te5 Te 0.475 0.500 0.039
Te6 Te 0.476 0.500 0.373
Te7 Te 0.756 0.000 0.702
Te8 Te 0.757 0.000 0.036
Te9 Te 0.757 0.000 0.369
Te10 Te 0.967 0.500 0.194
Te11 Te 0.967 0.500 0.528
Te12 Te 0.967 0.500 0.860
```

Largest 10 diffraction maxima, by angle, 10° ≤ 2θ ≤ 80°:
- 2θ = 27.6°, 3.231 Å, rel. 112
- 2θ = 28.6°, 3.124 Å, rel. 1000
- 2θ = 29.1°, 3.072 Å, rel. 441
- 2θ = 35.3°, 2.540 Å, rel. 176
- 2θ = 35.4°, 2.533 Å, rel. 152
- 2θ = 37.7°, 2.389 Å, rel. 111
- 2θ = 41.2°, 2.192 Å, rel. 205
- 2θ = 46.4°, 1.959 Å, rel. 138
- 2θ = 46.5°, 1.953 Å, rel. 151
- 2θ = 51.2°, 1.785 Å, rel. 184

Entry 2:
Structure and simulated powder diffraction line list of BaCuF4 (DFT lattice parameters and positions (GGA-PBE); copper Kα).
No peak broadening, texture or thermal motion is included.

Crystal structure
```
data_BaCuF4
_symmetry_space_group_name_H-M 'C m c 21'
_symmetry_Int_Tables_number 36
_cell_length_a 4.369
_cell_length_b 14.482
_cell_length_c 5.761
_cell_angle_alpha 90.00
_cell_angle_beta 90.00
_cell_angle_gamma 90.00
loop_
_symmetry_equiv_pos_as_xyz
'x,y,z'
'-x,-y,z+1/2'
'-x,y,z'
'x,-y,z+1/2'
'x+1/2,y+1/2,z'
'-x+1/2,-y+1/2,z+1/2'
'-x+1/2,y+1/2,z'
'x+1/2,-y+1/2,z+1/2'
loop_
_atom_site_label
_atom_site_type_symbol
_atom_site_fract_x
_atom_site_fract_y
_atom_site_fract_z
Ba1 Ba 0.000 0.142 0.000
Cu1 Cu 0.000 0.410 0.033
F1 F 0.000 0.079 0.537
F2 F 0.000 0.302 0.240
F3 F 0.000 0.330 0.758
F4 F 0.000 0.477 0.341
```

Largest 10 diffraction maxima, by angle, 10° ≤ 2θ ≤ 80°:
- 2θ = 24.6°, 3.620 Å, rel. 437
- 2θ = 26.3°, 3.385 Å, rel. 1000
- 2θ = 29.1°, 3.065 Å, rel. 324
- 2θ = 31.7°, 2.823 Å, rel. 382
- 2θ = 40.0°, 2.254 Å, rel. 291
- 2θ = 40.5°, 2.226 Å, rel. 378
- 2θ = 41.3°, 2.184 Å, rel. 336
- 2θ = 42.0°, 2.153 Å, rel. 313
- 2θ = 48.7°, 1.870 Å, rel. 272
- 2θ = 58.9°, 1.568 Å, rel. 332